No. 1
Computed powder X-ray diffraction pattern of Ba4NbFeO8 for λ = 1.5418 Å (Cu Kα), from a structure optimized by DFT (PBE+U).
Peak positions follow from Bragg's law for the DFT cell and can differ from measured ones.

Crystal structure
```
data_Ba4NbFeO8
_chemical_formula_sum 'Ba16 Nb4 Fe4 O32'
_space_group_name_H-M_alt 'P 1 21/c 1'
_space_group_IT_number 14
_space_group_name_Hall '-P 2ybc'
_cell_length_a 7.655
_cell_length_b 6.134
_cell_length_c 21.232
_cell_angle_alpha 90.00
_cell_angle_beta 97.98
_cell_angle_gamma 90.00
loop_
_atom_site_label
_atom_site_fract_x
_atom_site_fract_y
_atom_site_fract_z
_atom_site_occupancy
Ba1 0.012 0.242 0.361 1
Ba2 0.203 0.225 0.047 1
Ba3 0.346 0.719 0.288 1
Ba4 0.469 0.739 0.098 1
Nb1 0.158 0.235 0.212 1
Fe1 0.234 0.722 0.941 1
O1 0.001 0.003 0.252 1
O2 0.049 0.725 0.369 1
O3 0.158 0.697 0.520 1
O4 0.261 0.085 0.445 1
O5 0.275 0.033 0.669 1
O6 0.288 0.005 0.178 1
O7 0.310 0.236 0.792 1
O8 0.442 0.654 0.418 1
```

Principal peaks in the range 2θ = 5–70°, sorted by position:
hkl 1 1 4, 26.31 deg, rel. 18; hkl 2 0 -4, 27.02 deg, rel. 41; hkl 2 1 0, 27.66 deg, rel. 38; hkl 2 1 -2, 27.97 deg, rel. 20; hkl 0 2 0, 29.12 deg, rel. 75; hkl 0 1 6, 29.36 deg, rel. 100; hkl 2 1 2, 29.93 deg, rel. 71; hkl 2 2 -4, 40.14 deg, rel. 40; hkl 0 3 6, 51.76 deg, rel. 18; hkl 2 3 2, 52.14 deg, rel. 18

=====

No. 2
Computed powder X-ray diffraction pattern of Nb2Co2O9 for λ = 1.5418 Å (Cu Kα), from a structure optimized by DFT (PBE+U).
Peak positions follow from Bragg's law for the DFT cell and can differ from measured ones.

Crystal structure
```
data_Nb2Co2O9
_chemical_formula_sum 'Nb4 Co4 O18'
_space_group_name_H-M_alt 'P 63/m c m'
_space_group_IT_number 193
_space_group_name_Hall '-P 6c 2'
_cell_length_a 4.8804
_cell_length_b 4.8804
_cell_length_c 14.2371
_cell_angle_alpha 90.00
_cell_angle_beta 90.00
_cell_angle_gamma 120.00
loop_
_atom_site_label
_atom_site_fract_x
_atom_site_fract_y
_atom_site_fract_z
_atom_site_occupancy
Nb1 0.0000 0.0000 0.1593 1
Co1 0.3333 0.6667 0.0000 1
O1 0.0000 0.2985 0.2500 1
O2 0.0000 0.3523 0.5743 1
```

Principal peaks in the range 2θ = 5–70°, sorted by position:
hkl 1 0 0, 21.02 deg, rel. 51; hkl 1 0 2, 24.49 deg, rel. 100; hkl 1 0 4, 32.90 deg, rel. 62; hkl 1 1 0, 36.83 deg, rel. 42; hkl 1 1 3, 41.62 deg, rel. 14; hkl 1 0 6, 43.75 deg, rel. 13; hkl 2 0 4, 50.21 deg, rel. 23; hkl 1 1 6, 53.89 deg, rel. 62; hkl 2 1 4, 63.87 deg, rel. 19; hkl 3 0 0, 66.35 deg, rel. 21

=====

No. 3
Computed powder X-ray diffraction pattern of VH10SO10 for λ = 1.5418 Å (Cu Kα), from a structure optimized by DFT (PBE+U).
Peak positions follow from Bragg's law for the DFT cell and can differ from measured ones.

Crystal structure
```
data_VH10SO10
_chemical_formula_sum 'V2 H20 S2 O20'
_space_group_name_H-M_alt 'P m n 21'
_space_group_IT_number 31
_space_group_name_Hall 'P 2ac -2'
_cell_length_a 7.316
_cell_length_b 9.383
_cell_length_c 6.213
_cell_angle_alpha 90.00
_cell_angle_beta 90.00
_cell_angle_gamma 90.00
loop_
_atom_site_label
_atom_site_fract_x
_atom_site_fract_y
_atom_site_fract_z
_atom_site_occupancy
V1 0.000 0.216 0.000 1
H1 0.109 0.325 0.404 1
H2 0.161 0.994 0.190 1
H3 0.183 0.466 0.981 1
H4 0.187 0.876 0.699 1
H5 0.236 0.644 0.305 1
S1 0.000 0.738 0.020 1
O1 0.000 0.159 0.753 1
O2 0.000 0.336 0.311 1
O3 0.000 0.809 0.806 1
O4 0.000 0.842 0.198 1
O5 0.167 0.644 0.039 1
O6 0.195 0.089 0.135 1
O7 0.206 0.364 0.950 1
```

Principal peaks in the range 2θ = 5–70°, sorted by position:
hkl 1 0 1, 18.74 deg, rel. 100; hkl 0 2 0, 18.92 deg, rel. 38; hkl 2 0 0, 24.33 deg, rel. 8; hkl 1 2 1, 26.75 deg, rel. 35; hkl 0 1 2, 30.31 deg, rel. 9; hkl 2 2 0, 31.00 deg, rel. 25; hkl 2 2 1, 34.29 deg, rel. 17; hkl 2 3 0, 37.85 deg, rel. 8; hkl 3 2 1, 44.33 deg, rel. 8; hkl 3 3 1, 49.66 deg, rel. 11

=====

No. 4
Computed powder X-ray diffraction pattern of Li4Nb3Cr2Fe3O16 for λ = 1.5418 Å (Cu Kα), from a structure optimized by DFT (PBE+U).
Peak positions follow from Bragg's law for the DFT cell and can differ from measured ones.

Crystal structure
```
data_Li4Nb3Cr2Fe3O16
_chemical_formula_sum 'Li8 Nb6 Cr4 Fe6 O32'
_space_group_name_H-M_alt 'C 1 m 1'
_space_group_IT_number 8
_space_group_name_Hall 'C -2y'
_cell_length_a 10.520
_cell_length_b 6.070
_cell_length_c 9.762
_cell_angle_alpha 90.00
_cell_angle_beta 91.59
_cell_angle_gamma 90.00
loop_
_atom_site_label
_atom_site_fract_x
_atom_site_fract_y
_atom_site_fract_z
_atom_site_occupancy
Li1 0.000 0.000 0.000 1
Li2 0.007 0.000 0.513 1
Li3 0.157 0.500 0.098 1
Li4 0.326 0.000 0.616 1
Nb1 0.317 0.500 0.790 1
Nb2 0.402 0.250 0.288 1
Cr1 0.147 0.500 0.524 1
Cr2 0.318 0.000 0.010 1
Fe1 0.076 0.252 0.787 1
Fe2 0.160 0.000 0.283 1
O1 0.013 0.500 0.659 1
O2 0.064 0.251 0.402 1
O3 0.156 0.000 0.899 1
O4 0.158 0.500 0.900 1
O5 0.231 0.285 0.651 1
O6 0.251 0.221 0.155 1
O7 0.321 0.500 0.398 1
O8 0.331 0.000 0.404 1
O9 0.397 0.254 0.902 1
O10 0.468 0.000 0.162 1
O11 0.483 0.500 0.185 1
O12 0.486 0.500 0.694 1
```

Principal peaks in the range 2θ = 5–70°, sorted by position:
hkl 0 0 2, 18.18 deg, rel. 100; hkl 2 0 -1, 18.95 deg, rel. 35; hkl 1 1 -1, 19.06 deg, rel. 44; hkl 1 1 1, 19.29 deg, rel. 29; hkl 4 0 -1, 35.16 deg, rel. 34; hkl 2 2 -1, 35.24 deg, rel. 29; hkl 2 2 1, 35.49 deg, rel. 30; hkl 2 2 -3, 43.99 deg, rel. 31; hkl 2 2 3, 44.62 deg, rel. 26; hkl 0 4 0, 61.06 deg, rel. 47

=====

No. 5
Computed powder X-ray diffraction pattern of Li4Cu2Ni5O12 for λ = 1.5418 Å (Cu Kα), from a structure optimized by DFT (PBE+U).
Peak positions follow from Bragg's law for the DFT cell and can differ from measured ones.

Crystal structure
```
data_Li4Cu2Ni5O12
_chemical_formula_sum 'Li8 Cu4 Ni10 O24'
_space_group_name_H-M_alt 'P 1 21 1'
_space_group_IT_number 4
_space_group_name_Hall 'P 2yb'
_cell_length_a 5.271
_cell_length_b 8.563
_cell_length_c 9.573
_cell_angle_alpha 90.00
_cell_angle_beta 97.20
_cell_angle_gamma 90.00
loop_
_atom_site_label
_atom_site_fract_x
_atom_site_fract_y
_atom_site_fract_z
_atom_site_occupancy
Li1 0.003 0.000 0.258 1
Li2 0.242 0.527 0.490 1
Li3 0.489 0.019 0.741 1
Li4 0.496 0.194 0.254 1
Cu1 0.249 0.341 0.995 1
Cu2 0.251 0.860 0.499 1
Ni1 0.000 0.358 0.252 1
Ni2 0.243 0.682 0.002 1
Ni3 0.246 0.194 0.500 1
Ni4 0.255 0.014 0.998 1
Ni5 0.495 0.354 0.745 1
O1 0.125 0.493 0.108 1
O2 0.127 0.711 0.617 1
O3 0.130 0.187 0.107 1
O4 0.144 0.016 0.612 1
O5 0.182 0.354 0.628 1
O6 0.184 0.860 0.132 1
O7 0.321 0.351 0.362 1
O8 0.323 0.854 0.864 1
O9 0.348 0.022 0.385 1
O10 0.365 0.498 0.881 1
O11 0.394 0.183 0.894 1
O12 0.395 0.710 0.389 1
```

Principal peaks in the range 2θ = 5–70°, sorted by position:
hkl 0 0 2, 18.69 deg, rel. 51; hkl 0 2 0, 20.75 deg, rel. 34; hkl 1 1 -1, 21.07 deg, rel. 24; hkl 1 1 1, 22.91 deg, rel. 45; hkl 2 0 -2, 37.11 deg, rel. 19; hkl 1 3 1, 37.68 deg, rel. 35; hkl 2 0 2, 41.46 deg, rel. 62; hkl 1 3 -3, 44.76 deg, rel. 100; hkl 3 3 -1, 62.11 deg, rel. 30; hkl 1 3 5, 63.18 deg, rel. 33

=====

No. 6
Computed powder X-ray diffraction pattern of LiMnP4O12 for λ = 1.5418 Å (Cu Kα), from a structure optimized by DFT (PBE+U).
Peak positions follow from Bragg's law for the DFT cell and can differ from measured ones.

Crystal structure
```
data_LiMnP4O12
_chemical_formula_sum 'Li4 Mn4 P16 O48'
_space_group_name_H-M_alt 'C 1 2/c 1'
_space_group_IT_number 15
_space_group_name_Hall '-C 2yc'
_cell_length_a 15.745
_cell_length_b 7.399
_cell_length_c 9.628
_cell_angle_alpha 90.00
_cell_angle_beta 124.49
_cell_angle_gamma 90.00
loop_
_atom_site_label
_atom_site_fract_x
_atom_site_fract_y
_atom_site_fract_z
_atom_site_occupancy
Li1 0.000 0.206 0.250 1
Mn1 0.000 0.345 0.750 1
P1 0.133 0.075 0.639 1
P2 0.134 0.329 0.164 1
O1 0.064 0.415 0.203 1
O2 0.074 0.068 0.453 1
O3 0.106 0.208 0.726 1
O4 0.110 0.349 0.988 1
O5 0.143 0.122 0.218 1
O6 0.247 0.400 0.295 1
```

Principal peaks in the range 2θ = 5–70°, sorted by position:
hkl 2 0 0, 13.65 deg, rel. 32; hkl 2 0 -2, 18.46 deg, rel. 49; hkl 3 1 -1, 20.75 deg, rel. 45; hkl 0 0 2, 22.41 deg, rel. 64; hkl 1 1 -2, 22.80 deg, rel. 27; hkl 2 2 -1, 26.85 deg, rel. 100; hkl 4 0 0, 27.49 deg, rel. 24; hkl 2 0 2, 32.43 deg, rel. 21; hkl 4 2 -1, 33.53 deg, rel. 24; hkl 6 0 -2, 34.18 deg, rel. 26

=====

No. 7
Computed powder X-ray diffraction pattern of Ni2Te3O8 for λ = 1.5418 Å (Cu Kα), from a structure optimized by DFT (PBE+U).
Peak positions follow from Bragg's law for the DFT cell and can differ from measured ones.

Crystal structure
```
data_Ni2Te3O8
_chemical_formula_sum 'Ni8 Te12 O32'
_space_group_name_H-M_alt 'C 1 2/c 1'
_space_group_IT_number 15
_space_group_name_Hall '-C 2yc'
_cell_length_a 12.511
_cell_length_b 5.258
_cell_length_c 11.538
_cell_angle_alpha 90.00
_cell_angle_beta 98.61
_cell_angle_gamma 90.00
loop_
_atom_site_label
_atom_site_fract_x
_atom_site_fract_y
_atom_site_fract_z
_atom_site_occupancy
Ni1 0.236 0.176 0.355 1
Te1 0.000 0.184 0.750 1
Te2 0.134 0.184 0.056 1
O1 0.084 0.045 0.356 1
O2 0.113 0.152 0.630 1
O3 0.199 0.347 0.199 1
O4 0.232 0.492 0.973 1
```

Principal peaks in the range 2θ = 5–70°, sorted by position:
hkl 1 1 0, 18.33 deg, rel. 38; hkl 1 1 -1, 19.50 deg, rel. 25; hkl 2 0 2, 22.74 deg, rel. 36; hkl 3 1 -1, 27.68 deg, rel. 77; hkl 1 1 3, 30.75 deg, rel. 100; hkl 2 0 -4, 32.55 deg, rel. 31; hkl 2 2 -1, 37.54 deg, rel. 23; hkl 5 1 1, 42.18 deg, rel. 19; hkl 1 1 -7, 58.71 deg, rel. 16; hkl 3 3 2, 60.56 deg, rel. 17

=====

No. 8
Computed powder X-ray diffraction pattern of MgV4O5F7 for λ = 1.5418 Å (Cu Kα), from a structure optimized by DFT (PBE+U).
Peak positions follow from Bragg's law for the DFT cell and can differ from measured ones.

Crystal structure
```
data_MgV4O5F7
_chemical_formula_sum 'Mg1 V4 O5 F7'
_space_group_name_H-M_alt 'P 1'
_space_group_IT_number 1
_space_group_name_Hall 'P 1'
_cell_length_a 5.147
_cell_length_b 5.560
_cell_length_c 7.530
_cell_angle_alpha 92.93
_cell_angle_beta 90.30
_cell_angle_gamma 91.22
loop_
_atom_site_label
_atom_site_fract_x
_atom_site_fract_y
_atom_site_fract_z
_atom_site_occupancy
Mg1 0.000 0.000 0.000 1
V1 0.033 0.426 0.303 1
V2 0.536 0.889 0.795 1
V3 0.548 0.926 0.293 1
V4 0.967 0.416 0.785 1
O1 0.269 0.623 0.253 1
O2 0.643 0.876 0.054 1
O3 0.684 0.602 0.751 1
O4 0.735 0.176 0.347 1
O5 0.786 0.097 0.765 1
F1 0.129 0.397 0.549 1
F2 0.181 0.730 0.869 1
F3 0.216 0.106 0.224 1
F4 0.269 0.184 0.864 1
F5 0.401 0.903 0.546 1
F6 0.783 0.673 0.367 1
F7 0.900 0.369 0.053 1
```

Principal peaks in the range 2θ = 5–70°, sorted by position:
hkl 1 -1 0, 23.31 deg, rel. 97; hkl 0 0 2, 23.66 deg, rel. 90; hkl 1 1 0, 23.83 deg, rel. 100; hkl 0 2 0, 32.25 deg, rel. 22; hkl 1 -1 2, 32.93 deg, rel. 23; hkl 1 1 -2, 33.15 deg, rel. 24; hkl 2 -2 0, 47.67 deg, rel. 24; hkl 0 0 4, 48.42 deg, rel. 22; hkl 2 2 0, 48.78 deg, rel. 22; hkl 1 -1 4, 53.71 deg, rel. 28